No. 1
Simulated X-ray diffraction stick pattern
Compound: Fe12C
Radiation: Cu Kα
Structure: a crystal structure in OQMD, relaxed with PBE
Lines closer than 0.1° are merged.

Atomic structure:
a b c (Å): 4.150 5.025 7.009
angles (deg): 88.01 87.80 86.96
Positions (direct):
Fe (0.000, 0.000, 0.000)
Fe (0.002, 0.842, 0.674)
Fe (0.005, 0.340, 0.670)
Fe (0.044, 0.707, 0.353)
Fe (0.457, 0.303, 0.150)
Fe (0.496, 0.667, 0.833)
Fe (0.499, 0.164, 0.829)
Fe (0.501, 0.008, 0.503)
Fe (0.509, 0.831, 0.167)
Fe (0.514, 0.507, 0.501)
Fe (0.986, 0.501, 0.001)
Fe (0.992, 0.179, 0.337)
C (0.750, 0.505, 0.251)

Top 8 peaks for 10° ≤ 2θ ≤ 90°, low angle first:
two_theta, d/Å, intensity
43.74, 2.070, 100
43.83, 2.066, 33
45.24, 2.004, 34
45.30, 2.002, 34
61.23, 1.514, 10
79.33, 1.208, 17
82.43, 1.170, 13
82.67, 1.167, 13

No. 2
Simulated X-ray diffraction stick pattern
Compound: Fe2C
Radiation: Cu Kα
Structure: a crystal structure in OQMD, relaxed with PBE
Lines closer than 0.1° are merged.

Atomic structure:
a b c (Å): 4.507 4.920 4.907
angles (deg): 90.00 90.00 90.00
Positions (direct):
Fe (0.060, 0.250, 0.000)
Fe (0.060, 0.250, 0.500)
Fe (0.424, 0.617, 0.250)
Fe (0.424, 0.883, 0.750)
Fe (0.576, 0.117, 0.250)
Fe (0.576, 0.383, 0.750)
Fe (0.940, 0.750, 0.000)
Fe (0.940, 0.750, 0.500)
C (0.184, 0.539, 0.750)
C (0.184, 0.961, 0.250)
C (0.816, 0.039, 0.750)
C (0.816, 0.461, 0.250)

Top 8 peaks for 10° ≤ 2θ ≤ 90°, low angle first:
two_theta, d/Å, intensity
40.01, 2.253, 20
41.05, 2.199, 22
41.91, 2.156, 100
44.21, 2.049, 31
45.94, 1.975, 51
48.13, 1.891, 17
52.69, 1.737, 18
76.89, 1.240, 17

No. 3
Simulated X-ray diffraction stick pattern
Compound: Fe3C
Radiation: Cu Kα
Structure: a crystal structure in OQMD, relaxed with PBE
Lines closer than 0.1° are merged.

Atomic structure:
a b c (Å): 4.300 4.300 14.379
angles (deg): 102.52 102.52 36.01
Positions (direct):
Fe (0.031, 0.031, 0.379)
Fe (0.051, 0.051, 0.792)
Fe (0.122, 0.122, 0.967)
Fe (0.254, 0.254, 0.286)
Fe (0.348, 0.348, 0.466)
Fe (0.362, 0.362, 0.876)
Fe (0.638, 0.638, 0.124)
Fe (0.652, 0.652, 0.534)
Fe (0.746, 0.746, 0.714)
Fe (0.878, 0.878, 0.033)
Fe (0.949, 0.949, 0.208)
Fe (0.969, 0.969, 0.621)
C (0.285, 0.285, 0.616)
C (0.321, 0.321, 0.125)
C (0.679, 0.679, 0.875)
C (0.715, 0.715, 0.384)

Top 8 peaks for 10° ≤ 2θ ≤ 90°, low angle first:
two_theta, d/Å, intensity
37.01, 2.429, 69
41.93, 2.155, 45
43.55, 2.078, 100
44.38, 2.041, 60
45.90, 1.977, 91
46.70, 1.945, 77
47.80, 1.903, 54
55.59, 1.653, 41

No. 4
Simulated X-ray diffraction stick pattern
Compound: Fe23C6
Radiation: Cu Kα
Structure: a crystal structure in OQMD, relaxed with PBE
Lines closer than 0.1° are merged.

Atomic structure:
a b c (Å): 7.392 7.392 7.392
angles (deg): 60.00 60.00 60.00
Positions (direct):
Fe (0.000, 0.000, 0.000)
Fe (0.000, 0.000, 0.339)
Fe (0.000, 0.000, 0.661)
Fe (0.000, 0.339, 0.000)
Fe (0.000, 0.339, 0.661)
Fe (0.000, 0.661, 0.000)
Fe (0.000, 0.661, 0.339)
Fe (0.151, 0.616, 0.616)
Fe (0.250, 0.250, 0.250)
Fe (0.339, 0.000, 0.000)
Fe (0.339, 0.000, 0.661)
Fe (0.339, 0.661, 0.000)
Fe (0.384, 0.384, 0.384)
Fe (0.384, 0.384, 0.849)
Fe (0.384, 0.849, 0.384)
Fe (0.616, 0.151, 0.616)
Fe (0.616, 0.616, 0.151)
Fe (0.616, 0.616, 0.616)
Fe (0.661, 0.000, 0.000)
Fe (0.661, 0.000, 0.339)
Fe (0.661, 0.339, 0.000)
Fe (0.750, 0.750, 0.750)
Fe (0.849, 0.384, 0.384)
C (0.277, 0.277, 0.723)
C (0.277, 0.723, 0.277)
C (0.277, 0.723, 0.723)
C (0.723, 0.277, 0.277)
C (0.723, 0.277, 0.723)
C (0.723, 0.723, 0.277)

Top 8 peaks for 10° ≤ 2θ ≤ 90°, low angle first:
two_theta, d/Å, intensity
38.51, 2.338, 24
42.36, 2.134, 27
45.06, 2.012, 100
49.31, 1.848, 21
51.73, 1.767, 27
52.52, 1.742, 12
77.48, 1.232, 21
79.38, 1.207, 12